(1)
# La2Pm4TmSc
Theoretical powder XRD pattern, copper Kα. Input: a PBE-relaxed structure.
Lines closer than 0.1° are merged.

Atomic structure:
```
data_La2Pm4TmSc
_chemical_formula_sum 'La2 Pm4 Tm1 Sc1'
_symmetry_space_group_name_H-M 'P 1 2/m 1'
_symmetry_Int_Tables_number 10
_cell_length_a 5.065
_cell_length_b 5.092
_cell_length_c 10.275
_cell_angle_alpha 90.00
_cell_angle_beta 90.07
_cell_angle_gamma 90.00
loop_
_symmetry_equiv_pos_as_xyz
'x,y,z'
'-x,-y,-z'
'-x,y,-z'
'x,-y,z'
loop_
_atom_site_label
_atom_site_type_symbol
_atom_site_fract_x
_atom_site_fract_y
_atom_site_fract_z
La1 La 0.000 0.000 0.000
La2 La 0.500 0.500 0.500
Pm1 Pm 0.000 0.500 0.246
Pm2 Pm 0.500 0.000 0.247
Tm1 Tm 0.000 0.000 0.500
Sc1 Sc 0.500 0.500 0.000
```

Largest 10 diffraction maxima, by angle, 10 to 90 degrees two-theta:
| 2θ/deg | I (rel.) | h k l |
| --- | --- | --- |
| 30.4 | 100 | 1 1 2 |
| 34.9 | 17 | 0 0 4 |
| 35.3 | 17 | 0 2 0 |
| 35.4 | 17 | 2 0 0 |
| 50.5 | 12 | 0 2 4 |
| 50.6 | 12 | 2 0 4 |
| 59.8 | 14 | 1 1 6 |
| 60.3 | 14 | 1 3 2 |
| 60.5 | 14 | 3 1 2 |
| 63.2 | 12 | 2 2 4 |


(2)
# Tl16SbPb12
Theoretical powder XRD pattern, copper Kα. Input: a PBE-relaxed structure.
Lines closer than 0.1° are merged.

Atomic structure:
```
data_Tl16SbPb12
_chemical_formula_sum 'Tl32 Sb2 Pb24'
_symmetry_space_group_name_H-M 'C 1 m 1'
_symmetry_Int_Tables_number 8
_cell_length_a 12.325
_cell_length_b 17.501
_cell_length_c 10.567
_cell_angle_alpha 90.00
_cell_angle_beta 125.48
_cell_angle_gamma 90.00
loop_
_symmetry_equiv_pos_as_xyz
'x,y,z'
'x,-y,z'
'x+1/2,y+1/2,z'
'x+1/2,-y+1/2,z'
loop_
_atom_site_label
_atom_site_type_symbol
_atom_site_fract_x
_atom_site_fract_y
_atom_site_fract_z
Tl1 Tl 0.000 0.000 0.000
Tl2 Tl 0.004 0.000 0.358
Tl3 Tl 0.016 0.297 0.660
Tl4 Tl 0.047 0.361 0.354
Tl5 Tl 0.203 0.204 0.039
Tl6 Tl 0.318 0.000 0.072
Tl7 Tl 0.323 0.328 0.351
Tl8 Tl 0.343 0.339 0.759
Tl9 Tl 0.354 0.000 0.705
Tl10 Tl 0.437 0.154 0.947
Sb1 Sb 0.084 0.500 0.630
Pb1 Pb 0.089 0.094 0.727
Pb2 Pb 0.131 0.500 0.170
Pb3 Pb 0.187 0.185 0.543
Pb4 Pb 0.215 0.406 0.963
Pb5 Pb 0.285 0.092 0.353
Pb6 Pb 0.297 0.500 0.547
Pb7 Pb 0.493 0.311 0.159
```

Largest 10 diffraction maxima, by angle, 10 to 90 degrees two-theta:
| 2θ/deg | I (rel.) | h k l |
| --- | --- | --- |
| 29.1 | 11 | 0 4 2 |
| 30.8 | 100 | 4 0 -3 |
| 30.9 | 15 | 3 3 -3 |
| 31.0 | 44 | 1 3 -3 |
| 34.0 | 29 | 3 5 -1 |
| 34.3 | 10 | 3 1 1 |
| 34.4 | 13 | 3 1 -4 |
| 35.6 | 11 | 2 6 -2 |
| 37.2 | 12 | 4 4 -1 |
| 54.7 | 17 | 7 1 -2 |


(3)
# Na5B7C3
Theoretical powder XRD pattern, copper Kα. Input: a PBE-relaxed structure.
Lines closer than 0.1° are merged.

Atomic structure:
```
data_Na5B7C3
_chemical_formula_sum 'Na10 B14 C6'
_symmetry_space_group_name_H-M 'P 1'
_symmetry_Int_Tables_number 1
_cell_length_a 5.018
_cell_length_b 7.688
_cell_length_c 9.055
_cell_angle_alpha 107.70
_cell_angle_beta 90.01
_cell_angle_gamma 109.03
loop_
_symmetry_equiv_pos_as_xyz
'x,y,z'
loop_
_atom_site_label
_atom_site_type_symbol
_atom_site_fract_x
_atom_site_fract_y
_atom_site_fract_z
Na1 Na 0.000 0.000 0.000
Na2 Na 0.099 0.197 0.494
Na3 Na 0.200 0.399 0.996
Na4 Na 0.300 0.600 0.496
Na5 Na 0.401 0.799 0.996
Na6 Na 0.500 0.998 0.495
Na7 Na 0.600 0.199 0.998
Na8 Na 0.700 0.398 0.496
Na9 Na 0.799 0.598 0.997
Na10 Na 0.898 0.797 0.495
B1 B 0.009 0.687 0.746
B2 B 0.112 0.896 0.246
B3 B 0.188 0.688 0.245
B4 B 0.253 0.114 0.746
B5 B 0.270 0.900 0.746
B6 B 0.314 0.301 0.248
B7 B 0.403 0.099 0.248
B8 B 0.413 0.498 0.746
B9 B 0.598 0.508 0.246
B10 B 0.638 0.884 0.747
B11 B 0.770 0.897 0.246
B12 B 0.820 0.310 0.746
B13 B 0.868 0.097 0.747
B14 B 0.972 0.300 0.247
C1 C 0.078 0.498 0.746
C2 C 0.483 0.309 0.747
C3 C 0.515 0.698 0.245
C4 C 0.673 0.689 0.747
C5 C 0.713 0.099 0.248
C6 C 0.915 0.498 0.246
```

Largest 10 diffraction maxima, by angle, 10 to 90 degrees two-theta:
| 2θ/deg | I (rel.) | h k l |
| --- | --- | --- |
| 35.7 | 19 | 1 2 -1 |
| 41.7 | 100 | 2 -1 2 |
| 42.2 | 25 | 0 0 4 |
| 56.4 | 10 | 1 2 3 |
| 64.1 | 6 | 0 5 -2 |
| 64.2 | 11 | 3 1 -1 |
| 76.7 | 12 | 2 -1 6 |
| 79.4 | 8 | 2 4 0 |
| 79.6 | 6 | 0 5 -6 |
| 79.9 | 11 | 3 1 3 |


(4)
# Tb5Y4Sc3
Theoretical powder XRD pattern, copper Kα. Input: a PBE-relaxed structure.
Lines closer than 0.1° are merged.

Atomic structure:
```
data_Tb5Y4Sc3
_chemical_formula_sum 'Tb10 Y8 Sc6'
_symmetry_space_group_name_H-M 'C 1 2/m 1'
_symmetry_Int_Tables_number 12
_cell_length_a 15.997
_cell_length_b 5.725
_cell_length_c 9.120
_cell_angle_alpha 90.00
_cell_angle_beta 117.65
_cell_angle_gamma 90.00
loop_
_symmetry_equiv_pos_as_xyz
'x,y,z'
'-x,-y,-z'
'-x,y,-z'
'x,-y,z'
'x+1/2,y+1/2,z'
'-x+1/2,-y+1/2,-z'
'-x+1/2,y+1/2,-z'
'x+1/2,-y+1/2,z'
loop_
_atom_site_label
_atom_site_type_symbol
_atom_site_fract_x
_atom_site_fract_y
_atom_site_fract_z
Tb1 Tb 0.000 0.000 0.000
Tb2 Tb 0.075 0.500 0.710
Tb3 Tb 0.174 0.500 0.379
Y1 Y 0.081 0.000 0.438
Y2 Y 0.216 0.000 0.878
Sc1 Sc 0.000 0.500 0.000
Sc2 Sc 0.213 0.000 0.233
```

Largest 10 diffraction maxima, by angle, 10 to 90 degrees two-theta:
| 2θ/deg | I (rel.) | h k l |
| --- | --- | --- |
| 24.6 | 43 | 4 0 -2 |
| 25.3 | 39 | 1 1 -2 |
| 29.5 | 38 | 2 0 -3 |
| 30.1 | 43 | 2 0 2 |
| 30.3 | 52 | 3 1 1 |
| 31.2 | 100 | 0 2 0 |
| 31.9 | 44 | 4 0 1 |
| 32.3 | 82 | 5 1 -1 |
| 32.9 | 61 | 5 1 -2 |
| 34.6 | 47 | 1 1 -3 |